Simulated powder diffraction line list of MnHg3Br9 for Cu Ka, from a DFT-relaxed cell (PBE, Alexandria).

Structural model:
Cell lengths 18.8384, 10.7070, 13.6011 Å; angles 90.00, 129.40, 90.00 degrees
Space group Cc (No. 9)
Symmetry-distinct sites (fractional):
Mn 0.0000 0.1902 0.0000 [4 per cell]
Hg 0.1265 0.1324 0.8594 [4 per cell]
Hg 0.1356 0.1849 0.5726 [4 per cell]
Hg 0.4694 0.0189 0.8444 [4 per cell]
Br 0.0100 0.2936 0.5524 [4 per cell]
Br 0.0468 0.3452 0.2907 [4 per cell]
Br 0.1178 0.3283 0.0348 [4 per cell]
Br 0.1200 0.0712 0.1844 [4 per cell]
Br 0.2549 0.0974 0.5669 [4 per cell]
Br 0.2602 0.2223 0.8890 [4 per cell]
Br 0.3801 0.1417 0.3659 [4 per cell]
Br 0.3797 0.4202 0.4692 [4 per cell]
Br 0.4820 0.4412 0.3168 [4 per cell]

Peak list (6 most intense, 2θ from 15° to 90°, by intensity)
3.421 Å, 26.05°, intensity 100; 2.853 Å, 31.36°, intensity 52; 4.770 Å, 18.60°, intensity 47; 3.548 Å, 25.10°, intensity 43; 5.156 Å, 17.20°, intensity 41; 4.419 Å, 20.09°, intensity 39